MgNi2RuO6: theoretical XRD peak list (Cu Kα (λ = 1.5418 Å)), based on a PBE+U-relaxed structure.
Kinematic intensities with the Lorentz-polarization factor, no thermal factor.

Atomic structure:
Lattice parameters (Å, degrees): 5.2604 5.2604 4.6701 90.00 90.00 90.00
Space group P4mm (No. 99)
Unique sites:
Mg 0.0000 0.0000 0.0000 (multiplicity 1)
Ni 0.0000 0.5000 0.3432 (multiplicity 2)
Ru 0.5000 0.5000 0.0044 (multiplicity 1)
O 0.0000 0.0000 0.5820 (multiplicity 1)
O 0.2630 0.2630 0.1698 (multiplicity 4)
O 0.5000 0.5000 0.6436 (multiplicity 1)

Main lines, in order of rising 2θ (5° ≤ 2θ ≤ 70°):
h k l	two_theta	Rel. int.
1 0 0	16.85	31.9
0 0 1	19.00	48.7
1 0 1	25.51	24.5
1 1 1	30.73	100.0
2 0 0	34.09	41.2
1 1 2	45.89	38.9
2 2 0	48.98	33.4
2 0 2	52.40	14.1
3 1 1	58.94	29.5
3 1 2	69.36	20.5